Computed X-ray powder pattern
Compound: KNaAl2As2O9
Radiation: copper Kα
Structure: a crystal structure in the Materials Project, relaxed with GGA-PBE

Cell and atoms:
```
data_KNaAl2As2O9
_chemical_formula_sum 'K4 Na4 Al8 As8 O36'
_cell_length_a 8.3694
_cell_length_b 5.6043
_cell_length_c 17.4042
_cell_angle_alpha 90.00
_cell_angle_beta 90.00
_cell_angle_gamma 90.00
_space_group_name_H-M_alt 'P n m a'
_space_group_IT_number 62
_space_group_name_Hall '-P 2ac 2n'
loop_
_atom_site_label
_atom_site_type_symbol
_atom_site_fract_x
_atom_site_fract_y
_atom_site_fract_z
K1 K 0.0481 0.2500 0.2321
Na1 Na 0.0887 0.2500 0.6353
Al1 Al 0.0000 0.0000 0.0000
Al2 Al 0.2192 0.2500 0.4390
As1 As 0.1699 0.7500 0.5593
As2 As 0.1890 0.2500 0.8528
O1 O 0.0164 0.2500 0.4798
O2 O 0.0411 0.2500 0.9251
O3 O 0.0589 0.7500 0.9380
O4 O 0.0983 0.2500 0.7672
O5 O 0.1699 0.7500 0.6557
O6 O 0.1900 0.5017 0.3668
O7 O 0.2278 0.5016 0.0254
```

Top 10 peaks for 10 to 80 degrees two-theta, in order of rising 2θ:
(hkl), 2θ/deg, I_rel
0 0 2, 10.17, 100.0
1 1 1, 19.74, 71.4
1 1 3, 24.51, 27.6
2 1 2, 28.53, 37.9
2 0 4, 29.62, 25.0
0 1 5, 30.23, 90.4
0 2 0, 31.94, 47.1
1 2 3, 37.22, 25.5
3 1 2, 37.46, 43.0
3 2 7, 59.76, 25.6

Computed X-ray powder pattern
Compound: Sr2AlCu2SbO7
Radiation: copper Kα
Structure: a crystal structure in the Materials Project, relaxed with GGA-PBE

Cell and atoms:
```
data_Sr2AlCu2SbO7
_chemical_formula_sum 'Sr4 Al2 Cu4 Sb2 O14'
_cell_length_a 5.3132
_cell_length_b 5.3416
_cell_length_c 12.6861
_cell_angle_alpha 102.13
_cell_angle_beta 102.07
_cell_angle_gamma 90.00
_space_group_name_H-M_alt 'P 1'
_space_group_IT_number 1
_space_group_name_Hall 'P 1'
loop_
_atom_site_label
_atom_site_type_symbol
_atom_site_fract_x
_atom_site_fract_y
_atom_site_fract_z
Sr1 Sr 0.0000 0.0000 0.0000
Sr2 Sr 0.2156 0.2151 0.4333
Sr3 Sr 0.4997 0.4912 0.0000
Sr4 Sr 0.7163 0.7066 0.4333
Al1 Al 0.3638 0.3491 0.7166
Al2 Al 0.8678 0.8506 0.7166
Cu1 Cu 0.3082 0.7933 0.6036
Cu2 Cu 0.4227 0.9087 0.8299
Cu3 Cu 0.8073 0.2938 0.6038
Cu4 Cu 0.9203 0.4085 0.8291
Sb1 Sb 0.1182 0.5999 0.2167
Sb2 Sb 0.6180 0.1065 0.2166
O1 O 0.0316 0.5061 0.0394
O2 O 0.0940 0.0814 0.8205
O3 O 0.1353 0.1204 0.6126
O4 O 0.2090 0.6826 0.3941
O5 O 0.2391 0.5808 0.8195
O6 O 0.4849 0.4702 0.2166
O7 O 0.4880 0.4741 0.6128
O8 O 0.5311 0.0229 0.0392
O9 O 0.5933 0.2289 0.8215
O10 O 0.6362 0.9754 0.6137
O11 O 0.7079 0.1998 0.3940
O12 O 0.7416 0.7278 0.8206
O13 O 0.9846 0.2362 0.2167
O14 O 0.9883 0.6213 0.6117
```

Top 10 peaks for 10 to 80 degrees two-theta, in order of rising 2θ:
(hkl), 2θ/deg, I_rel
1 1 -3, 27.89, 100.0
1 1 2, 32.50, 88.8
0 2 -1, 33.55, 54.0
2 0 -1, 33.74, 53.5
0 0 5, 37.10, 45.9
2 2 -2, 48.32, 48.3
0 2 4, 50.88, 20.2
2 0 4, 51.01, 20.2
1 3 1, 59.33, 19.3
2 2 3, 62.45, 28.1

- Number 2 is which compound?
  Sr2AlCu2SbO7